# LiTlBrF
Theoretical powder XRD pattern, Cu Kα. Input: a DFT-relaxed cell (GGA-PBE, Alexandria).
No peak broadening, texture or thermal motion is included.

Atomic structure:
Cell: 3.7594 3.7603 6.8789 Å, 75.37 74.29 89.96°
Space group P1 (No. 1)
Symmetry-distinct sites (fractional):
1 Li 0.0000 0.0000 0.0000 x1
2 Tl 0.2944 0.3108 0.4182 x1
3 Br 0.5542 0.5510 0.8907 x1
4 F 0.8571 0.8662 0.2865 x1

The 10 most intense peaks (5 to 70 degrees two-theta), by intensity:
d_spacing  I/Imax
2.658  100.0
3.607  80.4
2.819  70.5
3.195  68.9
6.390  68.7
3.629  45.8
2.028  37.6
2.788  37.1
1.880  35.7
3.585  34.9